# 1
Starting from the PBE geometry in OQMD, the X-ray diffraction stick pattern of NaOsO4 was computed for Cu Kα, 1.54184 Å.
Intensities are scaled so that the largest is 100.

Atomic structure:
```
data_NaOsO4
_chemical_formula_sum 'Na4 Os4 O16'
_space_group_name_H-M_alt 'I 41/a'
_space_group_IT_number 88
_cell_length_a 5.1990
_cell_length_b 5.1990
_cell_length_c 11.6518
_cell_angle_alpha 90.00
_cell_angle_beta 90.00
_cell_angle_gamma 90.00
loop_
_space_group_symop_operation_xyz
'x,y,z'
'-x,-y,-z'
'-y+3/4,x+1/4,z+1/4'
'y+3/4,-x+1/4,-z+1/4'
'-x+1/2,-y,z+1/2'
'x+1/2,y,-z+1/2'
'y+3/4,-x+3/4,z+3/4'
'-y+3/4,x+3/4,-z+3/4'
'x+1/2,y+1/2,z+1/2'
'-x+1/2,-y+1/2,-z+1/2'
'-y+1/4,x+3/4,z+3/4'
'y+1/4,-x+3/4,-z+3/4'
'-x,-y+1/2,z'
'x,y+1/2,-z'
'y+1/4,-x+1/4,z+1/4'
'-y+1/4,x+1/4,-z+1/4'
loop_
_atom_site_label
_atom_site_fract_x
_atom_site_fract_y
_atom_site_fract_z
Na1 0.0000 0.2500 0.1250
Os1 0.0000 0.2500 0.6250
O1 0.1514 0.0030 0.7040
```

Main lines, by intensity (10° ≤ 2θ ≤ 90°):
(hkl)  two_theta  Rel. int.
1 1 2  28.71  100
1 0 1  18.69  67
2 0 4  46.84  22
3 1 2  58.32  22
2 1 1  39.52  19
1 1 6  53.37  16
2 0 0  34.50  14
1 3 6  75.84  12
0 0 4  30.69  11
1 2 3  45.47  10

---

# 2
Starting from the PBE geometry in OQMD, the X-ray diffraction stick pattern of Cu4Ag was computed for Cu Kα, 1.54184 Å.
Intensities are scaled so that the largest is 100.

Atomic structure:
```
data_Cu4Ag
_chemical_formula_sum 'Cu16 Ag4'
_space_group_name_H-M_alt 'C m m m'
_space_group_IT_number 65
_space_group_name_Hall '-C 2 2'
_cell_length_a 3.7616
_cell_length_b 18.5872
_cell_length_c 3.7276
_cell_angle_alpha 90.00
_cell_angle_beta 90.00
_cell_angle_gamma 90.00
loop_
_atom_site_label
_atom_site_fract_x
_atom_site_fract_y
_atom_site_fract_z
Cu1 0.0000 0.0000 0.0000
Cu2 0.0000 0.0922 0.5000
Cu3 0.0000 0.1926 0.0000
Cu4 0.0000 0.4082 0.0000
Cu5 0.0000 0.5000 0.5000
Ag1 0.0000 0.3052 0.5000
```

Main lines, by intensity (10° ≤ 2θ ≤ 90°):
(hkl)  two_theta  Rel. int.
1 5 1  41.89  100
2 0 0  48.40  17
0 0 2  48.87  16
0 10 0  49.01  14
3 5 1  85.85  11
1 5 3  86.56  11
2 0 2  71.23  10
2 10 0  71.34  8
0 10 2  71.71  8
1 15 1  86.77  8

---

# 3
Starting from the PBE geometry in OQMD, the X-ray diffraction stick pattern of Cu12As4S13 was computed for Cu Kα, 1.54184 Å.
Intensities are scaled so that the largest is 100.

Atomic structure:
```
data_Cu12As4S13
_chemical_formula_sum 'Cu24 As8 S26'
_space_group_name_H-M_alt 'I -4 3 m'
_space_group_IT_number 217
_space_group_name_Hall 'I -4 2 3'
_cell_length_a 10.1999
_cell_length_b 10.1999
_cell_length_c 10.1999
_cell_angle_alpha 90.00
_cell_angle_beta 90.00
_cell_angle_gamma 90.00
loop_
_atom_site_label
_atom_site_fract_x
_atom_site_fract_y
_atom_site_fract_z
Cu1 0.0000 0.0000 0.2210
Cu2 0.0000 0.2500 0.5000
As1 0.2362 0.2362 0.2362
S1 0.0000 0.0000 0.0000
S2 0.1196 0.1196 0.6399
```

Main lines, by intensity (10° ≤ 2θ ≤ 90°):
(hkl)  two_theta  Rel. int.
2 2 2  30.36  100
4 4 0  50.62  53
6 2 2  60.18  32
4 0 0  35.19  21
6 6 2  82.43  10
8 0 0  74.41  7
3 3 0  37.41  6
5 2 1  48.91  6
5 1 0  45.34  6
6 1 1  55.54  5

---

# 4
Starting from the PBE geometry in OQMD, the X-ray diffraction stick pattern of PuPtW was computed for Cu Kα, 1.54184 Å.
Intensities are scaled so that the largest is 100.

Atomic structure:
```
data_PuPtW
_chemical_formula_sum 'Pu4 Pt4 W4'
_space_group_name_H-M_alt 'F -4 3 m'
_space_group_IT_number 216
_space_group_name_Hall 'F -4 2 3'
_cell_length_a 6.2391
_cell_length_b 6.2391
_cell_length_c 6.2391
_cell_angle_alpha 90.00
_cell_angle_beta 90.00
_cell_angle_gamma 90.00
loop_
_atom_site_label
_atom_site_fract_x
_atom_site_fract_y
_atom_site_fract_z
Pu1 0.0000 0.0000 0.0000
Pt1 0.0000 0.0000 0.5000
W1 0.2500 0.2500 0.2500
```

Main lines, by intensity (10° ≤ 2θ ≤ 90°):
(hkl)  two_theta  Rel. int.
2 2 0  40.91  100
4 2 2  74.51  35
1 1 1  24.72  23
2 0 0  28.61  21
4 0 0  59.24  17
4 4 0  88.69  12
3 1 1  48.39  12
4 2 0  67.09  8
2 2 2  50.69  6
3 3 1  65.18  5

---

# 5
Starting from the PBE geometry in OQMD, the X-ray diffraction stick pattern of Tc2AsSe4 was computed for Cu Kα, 1.54184 Å.
Intensities are scaled so that the largest is 100.

Atomic structure:
Cell: 10.7524 10.7524 10.7524 Å, 90.00 90.00 90.00°
Space group Fd-3m (No. 227, origin choice 2)
Unique sites:
Tc: 0.0000 0.0000 0.0000 [16 per cell]
As: 0.1250 0.1250 0.6250 [8 per cell]
Se: 0.0159 0.0159 0.2341 [32 per cell]

Main lines, by intensity (10° ≤ 2θ ≤ 90°):
(hkl)  two_theta  Rel. int.
4 4 0  47.86  100
4 0 0  33.33  81
3 1 1  27.51  60
5 1 1  43.75  59
1 1 1  14.27  44
8 4 4  89.25  25
2 2 0  23.40  19
4 4 4  59.57  16
8 4 0  79.78  16
9 3 1  86.31  15

---

# 6
Starting from the PBE geometry in OQMD, the X-ray diffraction stick pattern of BaLu8P4 was computed for Cu Kα, 1.54184 Å.
Intensities are scaled so that the largest is 100.

Atomic structure:
```
data_BaLu8P4
_chemical_formula_sum 'Ba2 Lu16 P8'
_space_group_name_H-M_alt 'I 4/m'
_space_group_IT_number 87
_space_group_name_Hall '-I 4'
_cell_length_a 12.4764
_cell_length_b 12.4764
_cell_length_c 4.6208
_cell_angle_alpha 90.00
_cell_angle_beta 90.00
_cell_angle_gamma 90.00
loop_
_atom_site_label
_atom_site_fract_x
_atom_site_fract_y
_atom_site_fract_z
Ba1 0.0000 0.0000 0.0000
Lu1 0.0318 0.3598 0.0000
Lu2 0.1666 0.2386 0.5000
P1 0.0468 0.7489 0.5000
```

Main lines, by intensity (10° ≤ 2θ ≤ 90°):
(hkl)  two_theta  Rel. int.
3 0 1  28.88  100
4 1 1  35.46  47
1 1 0  10.03  35
3 2 1  32.32  33
0 0 2  38.98  25
1 3 0  22.54  23
3 3 0  30.40  22
3 5 0  42.24  17
4 3 1  41.11  14
3 5 2  58.82  13

---

# 7
Starting from the PBE geometry in OQMD, the X-ray diffraction stick pattern of DyHoIn3Si2 was computed for Cu Kα, 1.54184 Å.
Intensities are scaled so that the largest is 100.

Atomic structure:
```
data_DyHoIn3Si2
_chemical_formula_sum 'Dy2 Ho2 In6 Si4'
_space_group_name_H-M_alt 'C 1 m 1'
_space_group_IT_number 8
_cell_length_a 10.6273
_cell_length_b 4.2710
_cell_length_c 6.9834
_cell_angle_alpha 90.00
_cell_angle_beta 99.88
_cell_angle_gamma 90.00
loop_
_space_group_symop_operation_xyz
'x,y,z'
'x,-y,z'
'x+1/2,y+1/2,z'
'x+1/2,-y+1/2,z'
loop_
_atom_site_label
_atom_site_fract_x
_atom_site_fract_y
_atom_site_fract_z
Dy1 0.0000 0.0000 0.0000
Ho1 0.2420 0.0000 0.6640
In1 0.1212 0.5000 0.3323
In2 0.3163 0.0000 0.1817
In3 0.4255 0.5000 0.4823
Si1 0.0278 0.5000 0.7140
Si2 0.2140 0.5000 0.9487
```

Main lines, by intensity (10° ≤ 2θ ≤ 90°):
(hkl)  two_theta  Rel. int.
1 1 -2  33.40  100
3 1 0  33.15  56
3 1 1  37.33  36
2 0 2  33.54  29
0 2 0  42.32  28
4 0 -1  34.51  25
4 0 -2  39.53  17
7 1 -1  65.29  15
2 2 2  55.05  14
1 1 1  26.72  13

---

# 8
Starting from the PBE geometry in OQMD, the X-ray diffraction stick pattern of Dy2Sc2CI4Br was computed for Cu Kα, 1.54184 Å.
Intensities are scaled so that the largest is 100.

Atomic structure:
```
data_Dy2Sc2CI4Br
_chemical_formula_sum 'Dy4 Sc4 C2 I8 Br2'
_space_group_name_H-M_alt 'C 1 2/m 1'
_space_group_IT_number 12
_cell_length_a 19.6385
_cell_length_b 3.8529
_cell_length_c 8.1976
_cell_angle_alpha 90.00
_cell_angle_beta 101.86
_cell_angle_gamma 90.00
loop_
_space_group_symop_operation_xyz
'x,y,z'
'-x,-y,-z'
'-x,y,-z'
'x,-y,z'
'x+1/2,y+1/2,z'
'-x+1/2,-y+1/2,-z'
'-x+1/2,y+1/2,-z'
'x+1/2,-y+1/2,z'
loop_
_atom_site_label
_atom_site_fract_x
_atom_site_fract_y
_atom_site_fract_z
Dy1 0.1218 0.0000 0.0602
Sc1 0.0000 0.5000 0.1842
C1 0.0000 0.0000 0.0000
I1 0.1528 0.5000 0.3462
I2 0.1554 0.5000 0.8053
Br1 0.0000 0.0000 0.5000
```

Main lines, by intensity (10° ≤ 2θ ≤ 90°):
(hkl)  two_theta  Rel. int.
1 1 -2  31.88  100
4 0 0  18.47  51
3 1 2  37.09  38
6 0 0  27.84  31
0 0 1  11.03  27
3 1 1  30.34  23
5 1 -1  33.19  18
0 2 0  47.18  17
2 0 2  25.80  16
2 0 3  36.69  15